Simulated PXRD pattern of Li4CeGe4 for Cu Kα (weighted mean of Kα1 and Kα2), from the PBE geometry in Alexandria.
No peak broadening, texture or thermal motion is included.

Main lines, low angle first (2θ from 10° to 90°):
2θ 17.69, rel. 59, hkl 1 0 1
2θ 29.07, rel. 100, hkl 1 1 2
2θ 30.92, rel. 95, hkl 2 0 1
2θ 34.14, rel. 52, hkl 1 0 3
2θ 34.29, rel. 81, hkl 2 1 1
2θ 42.88, rel. 27, hkl 2 0 3
2θ 46.82, rel. 76, hkl 2 2 2
2θ 54.93, rel. 30, hkl 3 0 3
2θ 63.19, rel. 31, hkl 2 1 5
2θ 86.10, rel. 20, hkl 4 3 3

Structural model:
a = 6.1303 Å, b = 6.1303 Å, c = 8.7192 Å
α = 90.00°, β = 90.00°, γ = 90.00°
Positions (direct):
Li: 0.0086 0.2500 0.1586
Li: 0.2500 0.0086 0.6586
Li: 0.2500 0.4914 0.6586
Li: 0.4914 0.2500 0.1586
Li: 0.5086 0.7500 0.8414
Li: 0.7500 0.5086 0.3414
Li: 0.7500 0.9914 0.3414
Li: 0.9914 0.7500 0.8414
Ce: 0.2500 0.7500 0.2500
Ce: 0.7500 0.2500 0.7500
Ge: 0.0463 0.2500 0.4581
Ge: 0.2500 0.0463 0.9581
Ge: 0.2500 0.4537 0.9581
Ge: 0.4537 0.2500 0.4581
Ge: 0.5463 0.7500 0.5419
Ge: 0.7500 0.5463 0.0419
Ge: 0.7500 0.9537 0.0419
Ge: 0.9537 0.7500 0.5419